LiCoPO4: calculated powder diffraction line list (Cu Kα (weighted mean of Kα1 and Kα2)), based on a cell relaxed with GGA+U.
Neutral-atom scattering factors, no anomalous dispersion.

abc: 10.0872 5.8933 4.6880
angles: 90.00 90.00 90.00
Space group Pnma (No. 62)
Unique sites:
Li1 0.0000 0.0000 0.0000 (multiplicity 4)
Co1 0.2255 0.2500 0.4852 (multiplicity 4)
P1 0.0917 0.7500 0.4153 (multiplicity 4)
O1 0.0514 0.2500 0.7075 (multiplicity 4)
O2 0.0965 0.7500 0.7421 (multiplicity 4)
O3 0.1622 0.5410 0.2744 (multiplicity 8)

Top 12 peaks for 2θ = 5–70°, in order of rising 2θ:
2theta	I/Imax	(hkl)
17.58	33	2 0 0
20.90	44	1 0 1
23.21	16	2 1 0
25.84	86	1 1 1
30.33	57	0 2 0
32.78	17	3 0 1
36.24	100	3 1 1
37.12	23	1 2 1
42.50	20	2 0 2
53.13	35	2 2 2
57.81	23	3 3 1
63.73	17	6 2 0